[1]
Starting from a crystal structure in Alexandria, relaxed with GGA-PBE, the X-ray diffraction stick pattern of FeOs2Rh was simulated for copper Kα.
No peak broadening, texture or thermal motion is included.

Atomic structure:
```
FeOs2Rh
1.0
8.922 0.000 0.000
0.000 2.696 0.000
-0.824 0.000 4.563
Fe Os Rh
2 4 2
direct
0.000 0.000 0.000 Fe
0.500 0.500 0.000 Fe
0.003 0.500 0.511 Os
0.252 0.000 0.739 Os
0.503 0.000 0.511 Os
0.752 0.500 0.739 Os
0.251 0.500 0.235 Rh
0.751 0.000 0.235 Rh
```

Peak list (12 most intense, 2θ = 5–70°, sorted by position)
| 2θ (°) | d (Å) | I (rel.) |
| --- | --- | --- |
| 19.45 | 4.563 | 18.9 |
| 25.53 | 3.489 | 7.9 |
| 30.67 | 2.915 | 4.9 |
| 34.81 | 2.578 | 8.2 |
| 41.11 | 2.195 | 100.0 |
| 41.22 | 2.190 | 32.6 |
| 45.76 | 1.983 | 4.1 |
| 47.76 | 1.904 | 43.3 |
| 48.10 | 1.892 | 20.8 |
| 55.13 | 1.666 | 3.0 |
| 69.76 | 1.348 | 7.0 |
| 69.93 | 1.345 | 6.8 |

[2]
Starting from a crystal structure in Alexandria, relaxed with GGA-PBE, the X-ray diffraction stick pattern of CsAcAg2I6 was simulated for copper Kα.
No peak broadening, texture or thermal motion is included.

Atomic structure:
```
CsAcAg2I6
1.0
8.253 0.000 0.000
-4.126 7.149 0.000
0.000 -4.765 9.238
Cs Ac Ag I
1 1 2 6
direct
0.000 0.000 0.000 Cs
0.500 0.000 0.500 Ac
0.227 0.456 0.684 Ag
0.771 0.544 0.316 Ag
0.106 0.854 0.290 I
0.252 0.816 0.710 I
0.435 0.542 0.290 I
0.564 0.458 0.710 I
0.747 0.183 0.290 I
0.893 0.146 0.710 I
```

Peak list (12 most intense, 2θ = 5–70°, sorted by position)
| 2θ (°) | d (Å) | I (rel.) |
| --- | --- | --- |
| 9.57 | 9.238 | 41.2 |
| 17.83 | 4.975 | 71.7 |
| 23.61 | 3.768 | 100.0 |
| 28.09 | 3.176 | 22.1 |
| 29.01 | 3.078 | 64.7 |
| 35.67 | 2.517 | 25.9 |
| 36.40 | 2.468 | 19.4 |
| 37.75 | 2.383 | 62.4 |
| 45.00 | 2.015 | 30.5 |
| 47.70 | 1.907 | 15.9 |
| 48.30 | 1.884 | 26.5 |
| 60.15 | 1.538 | 19.7 |